Diffraction record for Pr4Y6Sc. The powder diffractogram is computed, not measured: it uses the PBE geometry in Alexandria and Cu Kα, 1.54184 Å.

The 12 most intense peaks (10° ≤ 2θ ≤ 90°), by angle:
index  2theta  d [Å]  I (rel.)
1 1 7  30.05  2.974  51
0 2 7  30.25  2.954  41
2 0 0  31.11  2.875  61
1 3 0  31.70  2.823  100
1 1 8  32.93  2.720  58
0 2 8  33.12  2.705  15
2 2 7  43.94  2.060  29
0 4 8  46.64  1.947  14
3 3 0  55.71  1.650  37
0 0 16  56.52  1.628  16
2 4 8  57.13  1.612  15
2 6 0  66.25  1.411  16

Cell and atoms:
```
data_Pr4Y6Sc
_symmetry_space_group_name_H-M 'C m c m'
_symmetry_Int_Tables_number 63
_symmetry_space_group_name_Hall '-C 2c 2'
_cell_length_a 5.7502
_cell_length_b 9.7202
_cell_length_c 26.0432
_cell_angle_alpha 90.00
_cell_angle_beta 90.00
_cell_angle_gamma 90.00
loop_
_atom_site_label
_atom_site_fract_x
_atom_site_fract_y
_atom_site_fract_z
_atom_site_occupancy
Pr1 0.0000 0.0281 0.1228 1
Pr2 0.0000 0.3440 0.0471 1
Y1 0.0000 0.0000 0.0000 1
Y2 0.0000 0.0163 0.2500 1
Y3 0.0000 0.3110 0.6109 1
Y4 0.0000 0.3538 0.1846 1
Sc1 0.0000 0.3177 0.7500 1
```

---

Diffraction record for Pr8Y4Sc. The powder diffractogram is computed, not measured: it uses the PBE geometry in Alexandria and Cu Kα, 1.54184 Å.

The 12 most intense peaks (10° ≤ 2θ ≤ 90°), by angle:
index  2theta  d [Å]  I (rel.)
0 0 9  27.64  3.228  36
0 2 1  28.33  3.150  17
2 0 2  28.84  3.096  28
0 2 4  30.79  2.904  100
2 0 5  32.18  2.782  45
1 0 10  33.95  2.641  9
2 0 8  37.68  2.387  30
2 2 0  49.88  1.828  50
2 2 9  57.94  1.592  28
4 0 4  59.74  1.548  14
2 0 17  61.68  1.504  9
2 4 4  81.45  1.182  10

Cell and atoms:
```
data_Pr8Y4Sc
_symmetry_space_group_name_H-M 'R -3 m'
_symmetry_Int_Tables_number 166
_symmetry_space_group_name_Hall '-R 3 2"'
_cell_length_a 7.3176
_cell_length_b 7.3176
_cell_length_c 29.0484
_cell_angle_alpha 90.00
_cell_angle_beta 90.00
_cell_angle_gamma 120.00
loop_
_atom_site_label
_atom_site_fract_x
_atom_site_fract_y
_atom_site_fract_z
_atom_site_occupancy
Pr1 0.0000 0.0000 0.2134 1
Pr2 0.0255 0.5127 0.7653 1
Y1 0.0000 0.0000 0.0000 1
Y2 0.0000 0.5000 0.0000 1
Sc1 0.0000 0.0000 0.5000 1
```

---

Diffraction record for Pr2YSc5. The powder diffractogram is computed, not measured: it uses the PBE geometry in Alexandria and Cu Kα, 1.54184 Å.

The 12 most intense peaks (10° ≤ 2θ ≤ 90°), by angle:
index  2theta  d [Å]  I (rel.)
1 1 0  18.12  4.895  12
0 0 2  18.91  4.692  14
2 0 0  25.74  3.461  14
2 0 2  32.14  2.785  100
2 2 0  36.72  2.447  34
0 0 4  38.37  2.346  15
4 0 0  52.91  1.730  12
2 2 4  54.16  1.694  21
4 2 2  63.27  1.470  26
2 0 6  65.49  1.425  12
4 0 4  67.23  1.393  11
4 2 6  88.98  1.100  10

Cell and atoms:
```
data_Pr2YSc5
_symmetry_space_group_name_H-M 'I 4/m m m'
_symmetry_Int_Tables_number 139
_symmetry_space_group_name_Hall '-I 4 2'
_cell_length_a 6.9219
_cell_length_b 6.9219
_cell_length_c 9.3836
_cell_angle_alpha 90.00
_cell_angle_beta 90.00
_cell_angle_gamma 90.00
loop_
_atom_site_label
_atom_site_fract_x
_atom_site_fract_y
_atom_site_fract_z
_atom_site_occupancy
Pr1 0.0000 0.5000 0.0000 1
Y1 0.0000 0.0000 0.0000 1
Sc1 0.0000 0.0000 0.5000 1
Sc2 0.2500 0.2500 0.2500 1
```

---

Diffraction record for PrY2Sc3. The powder diffractogram is computed, not measured: it uses the PBE geometry in Alexandria and Cu Kα, 1.54184 Å.

The 12 most intense peaks (10° ≤ 2θ ≤ 90°), by angle:
index  2theta  d [Å]  I (rel.)
0 0 3  15.99  5.542  59
1 1 1  30.59  2.922  58
1 1 -2  31.07  2.878  99
0 0 6  32.31  2.770  100
2 0 2  33.08  2.708  56
2 0 -4  34.85  2.575  43
2 0 3  35.84  2.505  25
1 1 4  38.03  2.366  59
1 1 -8  52.00  1.759  21
3 1 -1  52.78  1.734  31
3 1 5  63.20  1.471  39
3 1 -7  63.27  1.470  19

Cell and atoms:
```
data_PrY2Sc3
_symmetry_space_group_name_H-M 'P 1 21/m 1'
_symmetry_Int_Tables_number 11
_symmetry_space_group_name_Hall '-P 2yb'
_cell_length_a 6.0037
_cell_length_b 3.4758
_cell_length_c 16.7441
_cell_angle_alpha 90.00
_cell_angle_beta 96.84
_cell_angle_gamma 90.00
loop_
_atom_site_label
_atom_site_fract_x
_atom_site_fract_y
_atom_site_fract_z
_atom_site_occupancy
Pr1 0.0272 0.2500 0.3320 1
Y1 0.2502 0.2500 0.0004 1
Y2 0.4735 0.2500 0.6671 1
Sc1 0.1386 0.7500 0.1647 1
Sc2 0.2521 0.7500 0.5005 1
Sc3 0.3624 0.7500 0.8346 1
```